The following is a computed powder diffraction line list of NaMnCuF6. It was derived from DFT lattice parameters and positions (GGA+U), using Cu Kα X-rays.
Neutral-atom scattering factors, no anomalous dispersion.

Top 10 peaks for 2θ from 10° to 90°, by angle:
2θ/deg  intensity  hkl
18.49  79  0 0 1
19.01  39  1 0 0
26.64  100  1 0 1
33.24  29  1 1 0
38.31  77  2 -1 1
43.10  21  2 0 1
50.97  76  2 -1 2
55.49  24  3 -1 1
59.40  33  3 0 0
68.19  15  1 1 3

Atomic structure:
```
data_NaMnCuF6
_cell_length_a 5.3904
_cell_length_b 5.3904
_cell_length_c 4.7974
_cell_angle_alpha 90.00
_cell_angle_beta 90.00
_cell_angle_gamma 120.00
_space_group_name_H-M_alt 'P 1'
_space_group_IT_number 1
_space_group_name_Hall 'P 1'
loop_
_atom_site_label
_atom_site_fract_x
_atom_site_fract_y
_atom_site_fract_z
Na1 0.0000 0.0000 0.0000
Mn1 0.3333 0.6667 0.5000
Cu1 0.6667 0.3333 0.5000
F1 0.0008 0.3660 0.7177
F2 0.0008 0.6348 0.2823
F3 0.3652 0.3660 0.2823
F4 0.3652 0.9992 0.7177
F5 0.6340 0.6348 0.7177
F6 0.6340 0.9992 0.2823
```